No. 1
K6CuSi2O8: computed powder XRD pattern (copper Kα), based on the GGA-PBE geometry in Alexandria.

Main lines, sorted by position (10 to 90 degrees two-theta):
| 2θ (°) | d/Å | intensity |
| --- | --- | --- |
| 16.6 | 5.327 | 100.0 |
| 19.1 | 4.657 | 38.0 |
| 28.3 | 3.155 | 98.8 |
| 28.8 | 3.097 | 55.4 |
| 30.3 | 2.948 | 83.7 |
| 31.7 | 2.827 | 71.7 |
| 32.8 | 2.733 | 57.3 |
| 33.6 | 2.664 | 54.7 |
| 34.9 | 2.571 | 39.6 |
| 36.7 | 2.450 | 31.0 |
| 37.9 | 2.376 | 34.9 |
| 38.0 | 2.365 | 57.4 |

Atomic structure:
Lattice parameters (Å, degrees): 6.298 6.768 7.607 83.31 87.46 69.58
Fractional positions:
K  0.151  0.326  0.168
K  0.225  0.685  0.440
K  0.300  0.804  0.975
K  0.700  0.196  0.025
K  0.775  0.315  0.560
K  0.849  0.674  0.832
Cu  0.500  0.000  0.500
Si  0.280  0.260  0.732
Si  0.720  0.740  0.268
O  0.064  0.225  0.843
O  0.244  0.270  0.512
O  0.329  0.468  0.785
O  0.484  0.958  0.246
O  0.516  0.042  0.754
O  0.671  0.532  0.215
O  0.756  0.730  0.488
O  0.936  0.775  0.157

No. 2
KTa4Cu3O12: computed powder XRD pattern (copper Kα), based on the GGA-PBE geometry in Alexandria.

Main lines, sorted by position (10 to 90 degrees two-theta):
| 2θ (°) | d/Å | intensity |
| --- | --- | --- |
| 23.0 | 3.860 | 37.7 |
| 32.8 | 2.729 | 100.0 |
| 36.8 | 2.441 | 1.1 |
| 40.5 | 2.228 | 5.8 |
| 47.1 | 1.930 | 24.8 |
| 53.1 | 1.726 | 17.2 |
| 58.6 | 1.576 | 44.5 |
| 68.8 | 1.365 | 13.8 |
| 73.6 | 1.287 | 7.2 |
| 78.3 | 1.221 | 17.1 |
| 83.0 | 1.164 | 4.5 |
| 87.6 | 1.114 | 4.7 |

Atomic structure:
Lattice parameters (Å, degrees): 6.685 6.685 6.685 109.47 109.47 109.47
Fractional positions:
K  0.000  0.000  0.000
Ta  0.000  0.000  0.500
Ta  0.000  0.500  0.000
Ta  0.500  0.000  0.000
Ta  0.500  0.500  0.500
Cu  0.000  0.500  0.500
Cu  0.500  0.000  0.500
Cu  0.500  0.500  0.000
O  0.108  0.809  0.298
O  0.191  0.298  0.489
O  0.191  0.702  0.892
O  0.298  0.108  0.809
O  0.298  0.489  0.191
O  0.489  0.191  0.298
O  0.511  0.809  0.702
O  0.702  0.511  0.809
O  0.702  0.892  0.191
O  0.809  0.298  0.108
O  0.809  0.702  0.511
O  0.892  0.191  0.702

No. 3
KCuTc2O8: computed powder XRD pattern (copper Kα), based on the GGA-PBE geometry in Alexandria.

Main lines, sorted by position (10 to 90 degrees two-theta):
| 2θ (°) | d/Å | intensity |
| --- | --- | --- |
| 21.9 | 4.066 | 100.0 |
| 30.1 | 2.969 | 37.9 |
| 32.1 | 2.789 | 40.9 |
| 39.2 | 2.300 | 8.6 |
| 40.5 | 2.227 | 12.6 |
| 44.6 | 2.033 | 15.8 |
| 51.5 | 1.774 | 16.9 |
| 56.0 | 1.643 | 12.9 |
| 57.2 | 1.610 | 10.5 |
| 59.2 | 1.560 | 17.1 |
| 63.0 | 1.476 | 7.2 |
| 71.5 | 1.319 | 7.3 |

Atomic structure:
Lattice parameters (Å, degrees): 5.578 5.578 7.529 90.00 90.00 120.00
Fractional positions:
K  0.000  0.000  0.000
Cu  0.000  0.000  0.500
Tc  0.333  0.667  0.741
Tc  0.667  0.333  0.259
O  0.087  0.334  0.667
O  0.247  0.913  0.667
O  0.333  0.667  0.973
O  0.334  0.247  0.333
O  0.666  0.753  0.667
O  0.667  0.333  0.027
O  0.753  0.087  0.333
O  0.913  0.666  0.333

No. 4
KCu2TcO6: computed powder XRD pattern (copper Kα), based on the GGA-PBE geometry in Alexandria.

Main lines, sorted by position (10 to 90 degrees two-theta):
| 2θ (°) | d/Å | intensity |
| --- | --- | --- |
| 16.0 | 5.544 | 100.0 |
| 20.6 | 4.318 | 68.4 |
| 20.9 | 4.249 | 61.1 |
| 25.3 | 3.514 | 27.4 |
| 25.8 | 3.458 | 35.1 |
| 25.9 | 3.442 | 64.1 |
| 26.3 | 3.389 | 92.6 |
| 31.1 | 2.872 | 54.6 |
| 32.6 | 2.745 | 38.8 |
| 33.7 | 2.663 | 35.3 |
| 42.3 | 2.136 | 20.7 |
| 45.7 | 1.984 | 20.8 |

Atomic structure:
Lattice parameters (Å, degrees): 7.189 7.189 7.414 103.67 103.67 100.92
Fractional positions:
K  0.228  0.772  0.750
K  0.772  0.228  0.250
Cu  0.366  0.380  0.818
Cu  0.380  0.366  0.318
Cu  0.620  0.634  0.682
Cu  0.634  0.620  0.182
Tc  0.111  0.889  0.250
Tc  0.889  0.111  0.750
O  0.122  0.715  0.050
O  0.129  0.162  0.717
O  0.162  0.129  0.217
O  0.285  0.878  0.450
O  0.368  0.438  0.579
O  0.438  0.368  0.079
O  0.562  0.632  0.921
O  0.632  0.562  0.421
O  0.715  0.122  0.550
O  0.838  0.871  0.783
O  0.871  0.838  0.283
O  0.878  0.285  0.950

No. 5
K2TlCuO2: computed powder XRD pattern (copper Kα), based on the GGA-PBE geometry in Alexandria.

Main lines, sorted by position (10 to 90 degrees two-theta):
| 2θ (°) | d/Å | intensity |
| --- | --- | --- |
| 14.8 | 5.993 | 46.9 |
| 19.8 | 4.494 | 22.2 |
| 27.4 | 3.255 | 39.0 |
| 29.8 | 2.997 | 28.3 |
| 30.2 | 2.956 | 16.0 |
| 31.3 | 2.861 | 100.0 |
| 40.1 | 2.247 | 22.3 |
| 40.9 | 2.205 | 21.4 |
| 41.1 | 2.197 | 17.3 |
| 53.8 | 1.703 | 21.7 |
| 58.8 | 1.571 | 14.3 |
| 69.5 | 1.353 | 12.9 |

Atomic structure:
Lattice parameters (Å, degrees): 4.848 11.986 4.393 90.00 90.00 90.00
Fractional positions:
K  0.150  0.241  0.000
K  0.350  0.741  0.500
K  0.650  0.259  0.500
K  0.850  0.759  0.000
Tl  0.000  0.000  0.500
Tl  0.500  0.500  0.000
Cu  0.000  0.500  0.500
Cu  0.500  0.000  0.000
O  0.176  0.367  0.500
O  0.324  0.867  0.000
O  0.676  0.133  0.000
O  0.824  0.633  0.500

No. 6
KUCuO4: computed powder XRD pattern (copper Kα), based on the GGA-PBE geometry in Alexandria.

Main lines, sorted by position (10 to 90 degrees two-theta):
| 2θ (°) | d/Å | intensity |
| --- | --- | --- |
| 16.2 | 5.459 | 18.0 |
| 16.5 | 5.374 | 100.0 |
| 28.5 | 3.135 | 29.8 |
| 30.5 | 2.927 | 31.6 |
| 30.7 | 2.913 | 50.5 |
| 32.8 | 2.730 | 23.7 |
| 33.3 | 2.687 | 16.4 |
| 39.1 | 2.305 | 21.1 |
| 42.6 | 2.124 | 13.2 |
| 51.6 | 1.770 | 14.8 |
| 51.9 | 1.761 | 20.1 |
| 52.4 | 1.747 | 14.4 |

Atomic structure:
Lattice parameters (Å, degrees): 7.166 7.166 7.166 128.98 122.13 80.74
Fractional positions:
K  0.431  0.181  0.250
K  0.569  0.819  0.750
U  0.000  0.500  0.500
U  0.500  0.500  0.000
Cu  0.000  0.000  0.500
Cu  0.000  0.500  0.000
O  0.127  0.683  0.444
O  0.261  0.317  0.944
O  0.271  0.316  0.545
O  0.271  0.726  0.955
O  0.729  0.274  0.045
O  0.729  0.684  0.455
O  0.739  0.683  0.056
O  0.873  0.317  0.556

No. 7
K3UCu2O9: computed powder XRD pattern (copper Kα), based on the GGA-PBE geometry in Alexandria.

Main lines, sorted by position (10 to 90 degrees two-theta):
| 2θ (°) | d/Å | intensity |
| --- | --- | --- |
| 12.6 | 7.053 | 21.8 |
| 18.1 | 4.910 | 33.2 |
| 22.1 | 4.030 | 100.0 |
| 31.2 | 2.864 | 83.2 |
| 31.6 | 2.835 | 70.9 |
| 45.0 | 2.015 | 57.3 |
| 50.4 | 1.810 | 17.7 |
| 50.9 | 1.795 | 22.6 |
| 55.4 | 1.659 | 15.6 |
| 56.0 | 1.642 | 31.7 |
| 65.1 | 1.432 | 16.6 |
| 65.9 | 1.417 | 15.3 |

Atomic structure:
Lattice parameters (Å, degrees): 5.670 5.670 7.053 90.00 90.00 120.00
Fractional positions:
K  0.000  0.000  0.000
K  0.333  0.667  0.682
K  0.667  0.333  0.318
U  0.000  0.000  0.500
Cu  0.333  0.667  0.165
Cu  0.667  0.333  0.835
O  0.000  0.500  0.000
O  0.168  0.337  0.330
O  0.168  0.832  0.330
O  0.337  0.168  0.670
O  0.500  0.000  0.000
O  0.500  0.500  0.000
O  0.663  0.832  0.330
O  0.832  0.168  0.670
O  0.832  0.663  0.670